Structure and theoretical X-ray powder pattern of CsRbSrI4 (DFT lattice parameters and positions (PBE); Cu Kα).

```
data_CsRbSrI4
_chemical_formula_sum 'Cs2 Rb2 Sr2 I8'
_space_group_name_H-M_alt 'I 4 m m'
_space_group_IT_number 107
_space_group_name_Hall 'I 4 -2'
_cell_length_a 6.4210
_cell_length_b 6.4210
_cell_length_c 19.1584
_cell_angle_alpha 90.00
_cell_angle_beta 90.00
_cell_angle_gamma 90.00
loop_
_atom_site_label
_atom_site_fract_x
_atom_site_fract_y
_atom_site_fract_z
_atom_site_occupancy
Cs1 0.0000 0.0000 0.0000 1
Rb1 0.0000 0.0000 0.7225 1
Sr1 0.0000 0.0000 0.3626 1
I1 0.0000 0.0000 0.1939 1
I2 0.0000 0.0000 0.5326 1
I3 0.0000 0.5000 0.3585 1
```

Principal peaks in the range 15° ≤ 2θ ≤ 90°, low angle first:
d [Å]	2θ (°)	I/Imax
4.540	19.6	33
4.103	21.7	61
3.294	27.1	100
3.211	27.8	94
3.193	27.9	34
2.298	39.2	22
2.270	39.7	36
2.264	39.8	53
1.869	48.7	33
1.850	49.2	28



Structure and theoretical X-ray powder pattern of BC5 (DFT lattice parameters and positions (PBE); Cu Kα).

```
data_BC5
_chemical_formula_sum 'B2 C10'
_space_group_name_H-M_alt 'P m m a'
_space_group_IT_number 51
_space_group_name_Hall '-P 2a 2a'
_cell_length_a 2.5240
_cell_length_b 2.5247
_cell_length_c 11.3293
_cell_angle_alpha 90.00
_cell_angle_beta 90.00
_cell_angle_gamma 90.00
loop_
_atom_site_label
_atom_site_fract_x
_atom_site_fract_y
_atom_site_fract_z
_atom_site_occupancy
B1 0.2500 0.0000 0.1325 1
C1 0.2500 0.0000 0.4601 1
C2 0.2500 0.0000 0.7752 1
C3 0.2500 0.5000 0.0361 1
C4 0.2500 0.5000 0.3821 1
C5 0.2500 0.5000 0.6992 1
```

Principal peaks in the range 15° ≤ 2θ ≤ 90°, low angle first:
d [Å]	2θ (°)	I/Imax
3.776	23.6	2
2.832	31.6	1
2.099	43.1	100
1.884	48.3	2
1.402	66.7	1
1.297	72.9	25
1.262	75.3	13
1.235	77.2	1
1.199	80.0	1
1.127	86.4	7



Structure and theoretical X-ray powder pattern of Ta3ZnIr (DFT lattice parameters and positions (PBE); Cu Kα).

```
data_Ta3ZnIr
_chemical_formula_sum 'Ta3 Zn1 Ir1'
_space_group_name_H-M_alt 'P m -3 m'
_space_group_IT_number 221
_space_group_name_Hall '-P 4 2 3'
_cell_length_a 4.8551
_cell_length_b 4.8551
_cell_length_c 4.8551
_cell_angle_alpha 90.00
_cell_angle_beta 90.00
_cell_angle_gamma 90.00
loop_
_atom_site_label
_atom_site_fract_x
_atom_site_fract_y
_atom_site_fract_z
_atom_site_occupancy
Ta1 0.0000 0.0000 0.5000 1
Zn1 0.5000 0.5000 0.5000 1
Ir1 0.0000 0.0000 0.0000 1
```

Principal peaks in the range 15° ≤ 2θ ≤ 90°, low angle first:
d [Å]	2θ (°)	I/Imax
4.855	18.3	79
2.803	31.9	55
2.428	37.0	100
2.171	41.6	40
1.717	53.4	71
1.618	56.9	21
1.464	63.6	23
1.402	66.7	24
1.214	78.9	11
1.178	81.8	12



Structure and theoretical X-ray powder pattern of Sc3CuI3 (DFT lattice parameters and positions (PBE); Cu Kα).

```
data_Sc3CuI3
_chemical_formula_sum 'Sc24 Cu8 I24'
_space_group_name_H-M_alt 'I 41 3 2'
_space_group_IT_number 214
_space_group_name_Hall 'I 4bd 2c 3'
_cell_length_a 11.6186
_cell_length_b 11.6186
_cell_length_c 11.6186
_cell_angle_alpha 90.00
_cell_angle_beta 90.00
_cell_angle_gamma 90.00
loop_
_atom_site_label
_atom_site_fract_x
_atom_site_fract_y
_atom_site_fract_z
_atom_site_occupancy
Sc1 0.0994 0.3494 0.1250 1
Cu1 0.1250 0.1250 0.1250 1
I1 0.1213 0.1287 0.6250 1
```

Principal peaks in the range 15° ≤ 2θ ≤ 90°, low angle first:
d [Å]	2θ (°)	I/Imax
3.354	26.6	64
3.105	28.8	15
2.905	30.8	100
2.054	44.1	68
1.752	52.2	36
1.677	54.7	22
1.333	70.7	16
1.299	72.8	25
1.186	81.1	18
1.118	87.2	14



Structure and theoretical X-ray powder pattern of Fe3Ni2Ir (DFT lattice parameters and positions (PBE); Cu Kα).

```
data_Fe3Ni2Ir
_chemical_formula_sum 'Fe12 Ni8 Ir4'
_space_group_name_H-M_alt 'C m m m'
_space_group_IT_number 65
_space_group_name_Hall '-C 2 2'
_cell_length_a 3.6545
_cell_length_b 10.9415
_cell_length_c 7.2043
_cell_angle_alpha 90.00
_cell_angle_beta 90.00
_cell_angle_gamma 90.00
loop_
_atom_site_label
_atom_site_fract_x
_atom_site_fract_y
_atom_site_fract_z
_atom_site_occupancy
Fe1 0.0000 0.0000 0.2425 1
Fe2 0.0000 0.3351 0.2411 1
Ni1 0.0000 0.1665 0.0000 1
Ni2 0.0000 0.5000 0.0000 1
Ni3 0.0000 0.5000 0.5000 1
Ir1 0.0000 0.1627 0.5000 1
```

Principal peaks in the range 15° ≤ 2θ ≤ 90°, low angle first:
d [Å]	2θ (°)	I/Imax
2.430	37.0	11
2.098	43.1	100
1.827	49.9	16
1.824	50.0	16
1.801	50.7	15
1.291	73.3	10
1.283	73.9	10
1.281	74.0	9
1.100	89.0	12
1.099	89.1	11



Structure and theoretical X-ray powder pattern of TmIn6Hg8 (DFT lattice parameters and positions (PBE); Cu Kα).

```
data_TmIn6Hg8
_chemical_formula_sum 'Tm3 In18 Hg24'
_space_group_name_H-M_alt 'R -3'
_space_group_IT_number 148
_space_group_name_Hall '-R 3'
_cell_length_a 8.6223
_cell_length_b 8.6223
_cell_length_c 18.4578
_cell_angle_alpha 90.00
_cell_angle_beta 90.00
_cell_angle_gamma 120.00
loop_
_atom_site_label
_atom_site_fract_x
_atom_site_fract_y
_atom_site_fract_z
_atom_site_occupancy
Tm1 0.0000 0.0000 0.0000 1
In1 0.0275 0.7816 0.7077 1
Hg1 0.0000 0.0000 0.4209 1
Hg2 0.0633 0.2558 0.1323 1
```

Principal peaks in the range 15° ≤ 2θ ≤ 90°, low angle first:
d [Å]	2θ (°)	I/Imax
2.790	32.1	100
2.699	33.2	78
2.625	34.2	61
2.504	35.9	46
2.487	36.1	49
2.242	40.2	21
1.889	48.2	13
1.629	56.5	36
1.575	58.6	19
1.395	67.1	13



Structure and theoretical X-ray powder pattern of Y4GeO8F2 (DFT lattice parameters and positions (PBE); Cu Kα).

```
data_Y4GeO8F2
_chemical_formula_sum 'Y4 Ge1 O8 F2'
_space_group_name_H-M_alt 'P 1'
_space_group_IT_number 1
_space_group_name_Hall 'P 1'
_cell_length_a 5.6271
_cell_length_b 6.4081
_cell_length_c 6.9086
_cell_angle_alpha 90.94
_cell_angle_beta 109.92
_cell_angle_gamma 109.95
loop_
_atom_site_label
_atom_site_fract_x
_atom_site_fract_y
_atom_site_fract_z
_atom_site_occupancy
Y1 0.0000 0.0000 0.0000 1
Y2 0.1058 0.8679 0.5053 1
Y3 0.4172 0.6462 0.1259 1
Y4 0.6802 0.2083 0.3921 1
Ge1 0.6373 0.3715 0.8919 1
O1 0.0677 0.5048 0.4171 1
O2 0.2912 0.9028 0.2629 1
O3 0.4379 0.2750 0.0528 1
O4 0.4941 0.1924 0.6518 1
O5 0.6489 0.6516 0.8992 1
O6 0.7084 0.5714 0.4238 1
O7 0.8117 0.9701 0.2430 1
O8 0.9696 0.3630 0.0216 1
F1 0.1911 0.7934 0.8461 1
F2 0.9260 0.0654 0.6617 1
```

Principal peaks in the range 15° ≤ 2θ ≤ 90°, low angle first:
d [Å]	2θ (°)	I/Imax
4.742	18.7	35
3.448	25.8	66
3.303	27.0	63
3.249	27.5	100
3.211	27.8	29
2.882	31.0	61
2.785	32.1	45
2.409	37.3	32
1.821	50.1	28
1.781	51.3	27



Structure and theoretical X-ray powder pattern of Ac2TbPO8 (DFT lattice parameters and positions (PBE); Cu Kα).

```
data_Ac2TbPO8
_chemical_formula_sum 'Ac2 Tb1 P1 O8'
_space_group_name_H-M_alt 'P -3 m 1'
_space_group_IT_number 164
_space_group_name_Hall '-P 3 2"'
_cell_length_a 5.5315
_cell_length_b 5.5315
_cell_length_c 6.1755
_cell_angle_alpha 90.00
_cell_angle_beta 90.00
_cell_angle_gamma 120.00
loop_
_atom_site_label
_atom_site_fract_x
_atom_site_fract_y
_atom_site_fract_z
_atom_site_occupancy
Ac1 0.3333 0.6667 0.3578 1
Tb1 0.0000 0.0000 0.0000 1
P1 0.0000 0.0000 0.5000 1
O1 0.1450 0.2899 0.6675 1
O2 0.3333 0.6667 0.0064 1
```

Principal peaks in the range 15° ≤ 2θ ≤ 90°, low angle first:
d [Å]	2θ (°)	I/Imax
3.785	23.5	100
2.766	32.4	70
2.595	34.6	48
2.233	40.4	40
1.892	48.1	33
1.737	52.7	25
1.651	55.7	21
1.597	57.7	13
1.562	59.2	24
1.298	72.8	17



Structure and theoretical X-ray powder pattern of Mg2TlTc (DFT lattice parameters and positions (PBE); Cu Kα).

```
data_Mg2TlTc
_chemical_formula_sum 'Mg4 Tl2 Tc2'
_space_group_name_H-M_alt 'I 4/m m m'
_space_group_IT_number 139
_space_group_name_Hall '-I 4 2'
_cell_length_a 4.1045
_cell_length_b 4.1045
_cell_length_c 8.9637
_cell_angle_alpha 90.00
_cell_angle_beta 90.00
_cell_angle_gamma 90.00
loop_
_atom_site_label
_atom_site_fract_x
_atom_site_fract_y
_atom_site_fract_z
_atom_site_occupancy
Mg1 0.0000 0.5000 0.2500 1
Tl1 0.0000 0.0000 0.0000 1
Tc1 0.0000 0.0000 0.5000 1
```

Principal peaks in the range 15° ≤ 2θ ≤ 90°, low angle first:
d [Å]	2θ (°)	I/Imax
4.482	19.8	59
3.732	23.8	23
2.902	30.8	40
2.436	36.9	100
2.241	40.2	20
2.052	44.1	30
1.866	48.8	23
1.774	51.5	19
1.513	61.2	23
1.247	76.4	24



Structure and theoretical X-ray powder pattern of NdSi3Au2 (DFT lattice parameters and positions (PBE); Cu Kα).

```
data_NdSi3Au2
_chemical_formula_sum 'Nd4 Si12 Au8'
_space_group_name_H-M_alt 'I 4/m m m'
_space_group_IT_number 139
_space_group_name_Hall '-I 4 2'
_cell_length_a 4.2966
_cell_length_b 4.2966
_cell_length_c 25.2096
_cell_angle_alpha 90.00
_cell_angle_beta 90.00
_cell_angle_gamma 90.00
loop_
_atom_site_label
_atom_site_fract_x
_atom_site_fract_y
_atom_site_fract_z
_atom_site_occupancy
Nd1 0.0000 0.0000 0.1467 1
Si1 0.0000 0.0000 0.3055 1
Si2 0.0000 0.5000 0.0463 1
Au1 0.0000 0.0000 0.4032 1
Au2 0.0000 0.5000 0.2500 1
```

Principal peaks in the range 15° ≤ 2θ ≤ 90°, low angle first:
d [Å]	2θ (°)	I/Imax
4.202	21.1	20
3.270	27.3	15
2.760	32.4	26
2.737	32.7	100
2.148	42.1	41
2.022	44.8	17
1.940	46.8	17
1.913	47.5	13
1.519	61.0	14
1.328	71.0	22



Copy entry 9 word for word.
Structure and theoretical X-ray powder pattern of Mg2TlTc (DFT lattice parameters and positions (PBE); Cu Kα).

```
data_Mg2TlTc
_chemical_formula_sum 'Mg4 Tl2 Tc2'
_space_group_name_H-M_alt 'I 4/m m m'
_space_group_IT_number 139
_space_group_name_Hall '-I 4 2'
_cell_length_a 4.1045
_cell_length_b 4.1045
_cell_length_c 8.9637
_cell_angle_alpha 90.00
_cell_angle_beta 90.00
_cell_angle_gamma 90.00
loop_
_atom_site_label
_atom_site_fract_x
_atom_site_fract_y
_atom_site_fract_z
_atom_site_occupancy
Mg1 0.0000 0.5000 0.2500 1
Tl1 0.0000 0.0000 0.0000 1
Tc1 0.0000 0.0000 0.5000 1
```

Principal peaks in the range 15° ≤ 2θ ≤ 90°, low angle first:
d [Å]	2θ (°)	I/Imax
4.482	19.8	59
3.732	23.8	23
2.902	30.8	40
2.436	36.9	100
2.241	40.2	20
2.052	44.1	30
1.866	48.8	23
1.774	51.5	19
1.513	61.2	23
1.247	76.4	24